Theoretical powder X-ray diffraction pattern
Compound: V2Cu3H6O11
Radiation: Cu Kα (λ = 1.5418 Å)
Structure: DFT lattice parameters and positions (PBE+U)
Peak positions follow from Bragg's law for the DFT cell and can differ from measured ones.

The 6 most intense peaks (10° ≤ 2θ ≤ 90°), in order of falling intensity:
| 2θ (°) | I (rel.) | (hkl) |
| --- | --- | --- |
| 12.3 | 100 | 2 0 0 |
| 37.5 | 24 | 4 2 -2 |
| 29.2 | 21 | 3 1 1 |
| 34.5 | 18 | 2 2 -2 |
| 32.8 | 18 | 4 0 -4 |
| 27.7 | 16 | 2 0 2 |

Atomic structure:
```
data_V2Cu3H6O11
_symmetry_space_group_name_H-M 'C 1 c 1'
_symmetry_Int_Tables_number 9
_cell_length_a 16.960
_cell_length_b 5.924
_cell_length_c 11.027
_cell_angle_alpha 90.00
_cell_angle_beta 121.86
_cell_angle_gamma 90.00
loop_
_symmetry_equiv_pos_as_xyz
'x,y,z'
'x,-y,z+1/2'
'x+1/2,y+1/2,z'
'x+1/2,-y+1/2,z+1/2'
loop_
_atom_site_label
_atom_site_fract_x
_atom_site_fract_y
_atom_site_fract_z
V1 0.000 0.219 0.000
V2 0.244 0.220 0.234
Cu1 0.369 0.011 0.610
Cu2 0.372 0.250 0.867
Cu3 0.374 0.489 0.123
H1 0.001 0.267 0.644
H2 0.090 0.379 0.447
H3 0.109 0.122 0.472
H4 0.134 0.121 0.756
H5 0.154 0.377 0.786
H6 0.243 0.267 0.589
O1 0.107 0.260 0.765
O2 0.122 0.149 0.117
O3 0.137 0.262 0.467
O4 0.256 0.461 0.322
O5 0.292 0.001 0.854
O6 0.300 0.240 0.135
O7 0.314 0.258 0.655
O8 0.430 0.242 0.078
O9 0.444 0.260 0.598
O10 0.453 0.498 0.880
O11 0.489 0.040 0.412
```